No. 1
PuNi2Ge2: calculated X-ray diffraction stick pattern (Cu Kα X-rays), based on a DFT-relaxed cell (GGA-PBE, OQMD).
Intensities are scaled so that the largest is 100.

Structure:
```
PuNi2Ge2
1.0
4.118 0.000 0.000
0.000 4.118 0.000
0.000 0.000 9.582
Pu Ni Ge
2 4 4
direct
0.250 0.250 0.248 Pu
0.750 0.750 0.752 Pu
0.250 0.250 0.626 Ni
0.250 0.750 0.000 Ni
0.750 0.250 0.000 Ni
0.750 0.750 0.374 Ni
0.250 0.250 0.871 Ge
0.250 0.750 0.500 Ge
0.750 0.250 0.500 Ge
0.750 0.750 0.129 Ge
```

Largest 12 diffraction maxima, sorted by position, 5 to 70 degrees two-theta:
2θ = 23.51°, I = 35; 2θ = 30.70°, I = 29; 2θ = 35.57°, I = 78; 2θ = 36.09°, I = 100; 2θ = 37.55°, I = 9; 2θ = 43.97°, I = 53; 2θ = 50.46°, I = 10; 2θ = 52.68°, I = 28; 2θ = 57.78°, I = 39; 2θ = 59.17°, I = 9; 2θ = 63.94°, I = 17; 2θ = 66.81°, I = 15


No. 2
Ag15Pb: calculated X-ray diffraction stick pattern (Cu Kα X-rays), based on a DFT-relaxed cell (GGA-PBE, OQMD).
Intensities are scaled so that the largest is 100.

Structure:
```
Ag15Pb
1.0
4.997 0.000 0.000
0.000 35.140 0.000
-1.572 0.000 4.740
Ag Pb
30 2
direct
0.000 0.021 0.250 Ag
0.000 0.063 0.750 Ag
0.000 0.105 0.250 Ag
0.000 0.147 0.750 Ag
0.000 0.189 0.250 Ag
0.000 0.231 0.750 Ag
0.000 0.275 0.250 Ag
0.000 0.315 0.750 Ag
0.000 0.685 0.250 Ag
0.000 0.725 0.750 Ag
0.000 0.769 0.250 Ag
0.000 0.811 0.750 Ag
0.000 0.853 0.250 Ag
0.000 0.895 0.750 Ag
0.000 0.937 0.250 Ag
0.000 0.979 0.750 Ag
0.500 0.021 0.750 Ag
0.500 0.063 0.250 Ag
0.500 0.105 0.750 Ag
0.500 0.147 0.250 Ag
0.500 0.189 0.750 Ag
0.500 0.232 0.250 Ag
0.500 0.274 0.750 Ag
0.500 0.726 0.250 Ag
0.500 0.768 0.750 Ag
0.500 0.811 0.250 Ag
0.500 0.853 0.750 Ag
0.500 0.895 0.250 Ag
0.500 0.937 0.750 Ag
0.500 0.979 0.250 Ag
0.500 0.326 0.250 Pb
0.500 0.674 0.750 Pb
```

Largest 12 diffraction maxima, sorted by position, 5 to 70 degrees two-theta:
2θ = 5.03°, I = 100; 2θ = 35.80°, I = 15; 2θ = 37.93°, I = 79; 2θ = 38.04°, I = 11; 2θ = 38.31°, I = 4; 2θ = 40.12°, I = 5; 2θ = 41.88°, I = 10; 2θ = 43.75°, I = 25; 2θ = 44.75°, I = 13; 2θ = 62.95°, I = 6; 2θ = 63.65°, I = 5; 2θ = 64.37°, I = 15


No. 3
Pm5Sn3: calculated X-ray diffraction stick pattern (Cu Kα X-rays), based on a DFT-relaxed cell (GGA-PBE, OQMD).
Intensities are scaled so that the largest is 100.

Structure:
```
Pm5Sn3
1.0
9.226 0.000 0.000
-4.613 7.990 0.000
0.000 0.000 6.778
Pm Sn
10 6
direct
0.000 0.241 0.250 Pm
0.000 0.759 0.750 Pm
0.241 0.000 0.250 Pm
0.241 0.241 0.750 Pm
0.333 0.667 0.000 Pm
0.333 0.667 0.500 Pm
0.667 0.333 0.000 Pm
0.667 0.333 0.500 Pm
0.759 0.000 0.750 Pm
0.759 0.759 0.250 Pm
0.000 0.394 0.750 Sn
0.000 0.606 0.250 Sn
0.394 0.000 0.750 Sn
0.394 0.394 0.250 Sn
0.606 0.000 0.250 Sn
0.606 0.606 0.750 Sn
```

Largest 12 diffraction maxima, sorted by position, 5 to 70 degrees two-theta:
2θ = 26.30°, I = 17; 2θ = 28.61°, I = 19; 2θ = 29.58°, I = 32; 2θ = 32.46°, I = 100; 2θ = 32.79°, I = 78; 2θ = 33.65°, I = 40; 2θ = 47.70°, I = 19; 2θ = 50.44°, I = 29; 2θ = 53.23°, I = 14; 2θ = 54.12°, I = 11; 2θ = 64.47°, I = 18; 2θ = 65.26°, I = 12


No. 4
Cs2SnAuCl6: calculated X-ray diffraction stick pattern (Cu Kα X-rays), based on a DFT-relaxed cell (GGA-PBE, OQMD).
Intensities are scaled so that the largest is 100.

Structure:
```
Cs2SnAuCl6
1.0
-3.771 3.771 5.344
3.771 -3.771 5.344
3.771 3.771 -5.344
Cs Sn Au Cl
2 1 1 6
direct
0.250 0.750 0.500 Cs
0.750 0.250 0.500 Cs
0.000 0.000 0.000 Sn
0.500 0.500 0.000 Au
0.249 0.249 0.000 Cl
0.249 0.249 0.499 Cl
0.249 0.751 0.000 Cl
0.751 0.249 0.000 Cl
0.751 0.751 0.000 Cl
0.751 0.751 0.501 Cl
```

Largest 12 diffraction maxima, sorted by position, 5 to 70 degrees two-theta:
2θ = 14.37°, I = 4; 2θ = 16.61°, I = 8; 2θ = 23.57°, I = 100; 2θ = 27.72°, I = 3; 2θ = 28.98°, I = 4; 2θ = 33.58°, I = 51; 2θ = 37.69°, I = 4; 2θ = 41.44°, I = 47; 2θ = 48.23°, I = 35; 2θ = 54.36°, I = 22; 2θ = 60.05°, I = 12; 2θ = 65.43°, I = 25


No. 5
SrZr2Te4: calculated X-ray diffraction stick pattern (Cu Kα X-rays), based on a DFT-relaxed cell (GGA-PBE, OQMD).
Intensities are scaled so that the largest is 100.

Structure:
```
SrZr2Te4
1.0
3.521 -5.839 0.000
3.521 5.839 0.000
0.000 0.000 11.800
Sr Zr Te
2 4 8
direct
0.000 0.000 0.250 Sr
0.000 0.000 0.750 Sr
0.252 0.744 0.000 Zr
0.256 0.748 0.500 Zr
0.744 0.252 0.500 Zr
0.748 0.256 0.000 Zr
0.000 0.500 0.190 Te
0.000 0.500 0.810 Te
0.183 0.302 0.500 Te
0.302 0.183 0.000 Te
0.500 0.000 0.310 Te
0.500 0.000 0.690 Te
0.698 0.817 0.000 Te
0.817 0.698 0.500 Te
```

Largest 12 diffraction maxima, sorted by position, 5 to 70 degrees two-theta:
2θ = 15.02°, I = 12; 2θ = 15.17°, I = 12; 2θ = 27.07°, I = 42; 2θ = 27.25°, I = 42; 2θ = 30.30°, I = 25; 2θ = 30.62°, I = 23; 2θ = 33.37°, I = 100; 2θ = 45.67°, I = 10; 2θ = 45.79°, I = 9; 2θ = 46.83°, I = 20; 2θ = 47.05°, I = 20; 2θ = 51.94°, I = 10


No. 6
LiCu3OsSe4: calculated X-ray diffraction stick pattern (Cu Kα X-rays), based on a DFT-relaxed cell (GGA-PBE, OQMD).
Intensities are scaled so that the largest is 100.

Structure:
```
LiCu3OsSe4
1.0
5.684 0.000 0.000
0.000 5.684 0.000
0.000 0.000 5.684
Li Cu Os Se
1 3 1 4
direct
0.000 0.000 0.000 Li
0.000 0.500 0.500 Cu
0.500 0.000 0.500 Cu
0.500 0.500 0.000 Cu
0.500 0.500 0.500 Os
0.252 0.252 0.252 Se
0.252 0.748 0.748 Se
0.748 0.252 0.748 Se
0.748 0.748 0.252 Se
```

Largest 12 diffraction maxima, sorted by position, 5 to 70 degrees two-theta:
2θ = 15.59°, I = 93; 2θ = 22.12°, I = 19; 2θ = 27.17°, I = 54; 2θ = 35.31°, I = 47; 2θ = 38.81°, I = 9; 2θ = 45.12°, I = 100; 2θ = 48.02°, I = 26; 2θ = 53.47°, I = 24; 2θ = 58.55°, I = 13; 2θ = 60.99°, I = 5; 2θ = 65.71°, I = 16; 2θ = 68.00°, I = 14


No. 7
ThZn: calculated X-ray diffraction stick pattern (Cu Kα X-rays), based on a DFT-relaxed cell (GGA-PBE, OQMD).
Intensities are scaled so that the largest is 100.

Structure:
```
ThZn
1.0
5.008 0.000 0.000
0.000 4.979 0.000
-2.504 0.000 9.570
Th Zn
5 5
direct
0.000 0.000 0.000 Th
0.098 0.500 0.230 Th
0.377 0.000 0.768 Th
0.609 0.000 0.232 Th
0.868 0.500 0.770 Th
0.218 0.000 0.434 Zn
0.252 0.500 0.563 Zn
0.481 0.500 0.000 Zn
0.689 0.500 0.436 Zn
0.783 0.000 0.566 Zn
```

Largest 12 diffraction maxima, sorted by position, 5 to 70 degrees two-theta:
2θ = 25.66°, I = 12; 2θ = 28.90°, I = 37; 2θ = 34.56°, I = 100; 2θ = 35.86°, I = 28; 2θ = 36.08°, I = 28; 2θ = 37.60°, I = 13; 2θ = 51.78°, I = 20; 2θ = 52.94°, I = 10; 2θ = 63.62°, I = 17; 2θ = 63.90°, I = 17; 2θ = 65.74°, I = 10; 2θ = 69.13°, I = 14


No. 8
ScTaB4: calculated X-ray diffraction stick pattern (Cu Kα X-rays), based on a DFT-relaxed cell (GGA-PBE, OQMD).
Intensities are scaled so that the largest is 100.

Structure:
```
ScTaB4
1.0
3.090 0.000 0.000
-1.545 2.676 0.000
0.000 0.000 6.872
Sc Ta B
1 1 4
direct
0.000 0.000 0.000 Sc
0.000 0.000 0.500 Ta
0.333 0.667 0.255 B
0.333 0.667 0.745 B
0.667 0.333 0.255 B
0.667 0.333 0.745 B
```

Largest 12 diffraction maxima, sorted by position, 5 to 70 degrees two-theta:
2θ = 12.88°, I = 96; 2θ = 25.93°, I = 39; 2θ = 33.49°, I = 75; 2θ = 36.02°, I = 51; 2θ = 39.33°, I = 7; 2θ = 42.84°, I = 100; 2θ = 52.60°, I = 19; 2θ = 53.33°, I = 10; 2θ = 59.87°, I = 20; 2θ = 61.52°, I = 12; 2θ = 64.45°, I = 23; 2θ = 66.34°, I = 18


No. 9
TlSb5Ir3: calculated X-ray diffraction stick pattern (Cu Kα X-rays), based on a DFT-relaxed cell (GGA-PBE, OQMD).
Intensities are scaled so that the largest is 100.

Structure:
```
TlSb5Ir3
1.0
5.662 0.000 0.000
-2.831 4.903 0.000
0.000 0.000 8.075
Tl Sb Ir
1 5 3
direct
0.000 0.000 0.000 Tl
0.000 0.000 0.500 Sb
0.333 0.667 0.225 Sb
0.333 0.667 0.775 Sb
0.667 0.333 0.225 Sb
0.667 0.333 0.775 Sb
0.000 0.500 0.500 Ir
0.500 0.000 0.500 Ir
0.500 0.500 0.500 Ir
```

Largest 12 diffraction maxima, sorted by position, 5 to 70 degrees two-theta:
2θ = 10.96°, I = 62; 2θ = 21.20°, I = 26; 2θ = 28.64°, I = 32; 2θ = 31.60°, I = 36; 2θ = 33.54°, I = 19; 2θ = 36.65°, I = 26; 2θ = 38.14°, I = 16; 2θ = 38.37°, I = 31; 2θ = 43.17°, I = 100; 2θ = 44.90°, I = 20; 2θ = 59.30°, I = 15; 2θ = 66.00°, I = 21


No. 10
TmTa2O6: calculated X-ray diffraction stick pattern (Cu Kα X-rays), based on a DFT-relaxed cell (GGA-PBE, OQMD).
Intensities are scaled so that the largest is 100.

Structure:
```
TmTa2O6
1.0
3.914 0.000 0.000
0.000 3.914 0.000
0.000 0.000 7.865
Tm Ta O
1 2 6
direct
0.000 0.000 0.000 Tm
0.500 0.500 0.255 Ta
0.500 0.500 0.745 Ta
0.000 0.500 0.208 O
0.000 0.500 0.792 O
0.500 0.000 0.208 O
0.500 0.000 0.792 O
0.500 0.500 0.000 O
0.500 0.500 0.500 O
```

Largest 12 diffraction maxima, sorted by position, 5 to 70 degrees two-theta:
2θ = 11.25°, I = 25; 2θ = 22.61°, I = 8; 2θ = 22.72°, I = 17; 2θ = 25.42°, I = 17; 2θ = 32.30°, I = 100; 2θ = 46.17°, I = 9; 2θ = 46.40°, I = 19; 2θ = 52.24°, I = 7; 2θ = 57.50°, I = 15; 2θ = 57.64°, I = 27; 2θ = 67.53°, I = 11; 2θ = 67.71°, I = 6


No. 11
InCu3PbS4: calculated X-ray diffraction stick pattern (Cu Kα X-rays), based on a DFT-relaxed cell (GGA-PBE, OQMD).
Intensities are scaled so that the largest is 100.

Structure:
```
InCu3PbS4
1.0
5.889 0.000 0.000
0.000 5.889 0.000
0.000 0.000 5.889
In Cu Pb S
1 3 1 4
direct
0.000 0.000 0.000 In
0.000 0.500 0.500 Cu
0.500 0.000 0.500 Cu
0.500 0.500 0.000 Cu
0.500 0.500 0.500 Pb
0.241 0.241 0.241 S
0.241 0.759 0.759 S
0.759 0.241 0.759 S
0.759 0.759 0.241 S
```

Largest 12 diffraction maxima, sorted by position, 5 to 70 degrees two-theta:
2θ = 15.04°, I = 35; 2θ = 21.34°, I = 93; 2θ = 26.21°, I = 21; 2θ = 30.36°, I = 49; 2θ = 34.04°, I = 25; 2θ = 37.41°, I = 46; 2θ = 43.46°, I = 100; 2θ = 48.91°, I = 21; 2θ = 53.93°, I = 14; 2θ = 58.66°, I = 26; 2θ = 63.15°, I = 16; 2θ = 67.48°, I = 13


No. 12
Gd5Ni2Te2: calculated X-ray diffraction stick pattern (Cu Kα X-rays), based on a DFT-relaxed cell (GGA-PBE, OQMD).
Intensities are scaled so that the largest is 100.

Structure:
```
Gd5Ni2Te2
1.0
2.004 -7.559 0.000
2.004 7.559 0.000
0.000 0.000 15.053
Gd Ni Te
10 4 4
direct
0.040 0.960 0.624 Gd
0.040 0.960 0.876 Gd
0.259 0.741 0.127 Gd
0.259 0.741 0.373 Gd
0.394 0.606 0.750 Gd
0.606 0.394 0.250 Gd
0.741 0.259 0.627 Gd
0.741 0.259 0.873 Gd
0.960 0.040 0.124 Gd
0.960 0.040 0.376 Gd
0.186 0.814 0.750 Ni
0.412 0.588 0.250 Ni
0.588 0.412 0.750 Ni
0.814 0.186 0.250 Ni
0.385 0.615 0.540 Te
0.385 0.615 0.960 Te
0.615 0.385 0.040 Te
0.615 0.385 0.460 Te
```

Largest 12 diffraction maxima, sorted by position, 5 to 70 degrees two-theta:
2θ = 28.45°, I = 28; 2θ = 29.08°, I = 72; 2θ = 32.00°, I = 19; 2θ = 33.19°, I = 58; 2θ = 33.64°, I = 100; 2θ = 36.14°, I = 21; 2θ = 37.27°, I = 24; 2θ = 37.84°, I = 30; 2θ = 45.24°, I = 29; 2θ = 48.37°, I = 16; 2θ = 57.31°, I = 21; 2θ = 57.52°, I = 26


Please write out number 10 again, unchanged.
TmTa2O6: calculated X-ray diffraction stick pattern (Cu Kα X-rays), based on a DFT-relaxed cell (GGA-PBE, OQMD).
Intensities are scaled so that the largest is 100.

Structure:
```
TmTa2O6
1.0
3.914 0.000 0.000
0.000 3.914 0.000
0.000 0.000 7.865
Tm Ta O
1 2 6
direct
0.000 0.000 0.000 Tm
0.500 0.500 0.255 Ta
0.500 0.500 0.745 Ta
0.000 0.500 0.208 O
0.000 0.500 0.792 O
0.500 0.000 0.208 O
0.500 0.000 0.792 O
0.500 0.500 0.000 O
0.500 0.500 0.500 O
```

Largest 12 diffraction maxima, sorted by position, 5 to 70 degrees two-theta:
2θ = 11.25°, I = 25; 2θ = 22.61°, I = 8; 2θ = 22.72°, I = 17; 2θ = 25.42°, I = 17; 2θ = 32.30°, I = 100; 2θ = 46.17°, I = 9; 2θ = 46.40°, I = 19; 2θ = 52.24°, I = 7; 2θ = 57.50°, I = 15; 2θ = 57.64°, I = 27; 2θ = 67.53°, I = 11; 2θ = 67.71°, I = 6